# TlGaTeO6
Computed X-ray diffraction stick pattern, copper Kα. Input: the GGA-PBE geometry in Alexandria.
No peak broadening, texture or thermal motion is included.

Principal peaks in the range 10 to 80 degrees two-theta, by angle:
27.11°, 3.289 Å, intensity 100.0
34.39°, 2.608 Å, intensity 37.5
44.33°, 2.043 Å, intensity 25.8
51.78°, 1.765 Å, intensity 36.2
57.28°, 1.608 Å, intensity 25.0
61.56°, 1.506 Å, intensity 22.3
72.44°, 1.305 Å, intensity 11.2
78.99°, 1.212 Å, intensity 10.1

Crystal structure
```
TlGaTeO6
1.0
5.2157 0.0000 0.0000
-2.6078 4.5169 0.0000
0.0000 0.0000 9.5949
Tl Ga Te O
2 2 2 12
Direct
0.0000 0.0000 0.0000
0.0000 0.0000 0.5000
0.3333 0.6667 0.2500
0.6667 0.3333 0.7500
0.3333 0.6667 0.7500
0.6667 0.3333 0.2500
0.0066 0.3695 0.6377
0.0066 0.6372 0.8623
0.3628 0.3695 0.8623
0.3628 0.9934 0.6377
0.3695 0.0066 0.1377
0.3695 0.3628 0.3623
0.6305 0.6372 0.6377
0.6305 0.9934 0.8623
0.6372 0.0066 0.3623
0.6372 0.6305 0.1377
0.9934 0.3628 0.1377
0.9934 0.6305 0.3623
```



# ZnGa2TeO8
Computed X-ray diffraction stick pattern, copper Kα. Input: the GGA-PBE geometry in Alexandria.
No peak broadening, texture or thermal motion is included.

Principal peaks in the range 10 to 80 degrees two-theta, by angle:
19.10°, 4.648 Å, intensity 15.4
27.86°, 3.203 Å, intensity 100.0
33.09°, 2.707 Å, intensity 91.3
39.80°, 2.265 Å, intensity 17.7
52.69°, 1.737 Å, intensity 69.1
57.55°, 1.601 Å, intensity 16.2
62.15°, 1.494 Å, intensity 18.5
68.02°, 1.378 Å, intensity 19.8

Crystal structure
```
ZnGa2TeO8
1.0
-3.2028 3.2028 3.3767
3.2028 -3.2028 3.3767
3.2028 3.2028 -3.3767
Zn Ga Te O
1 2 1 8
Direct
0.0000 0.0000 0.0000
0.2500 0.7500 0.5000
0.5000 0.5000 0.0000
0.7500 0.2500 0.5000
0.0383 0.3513 0.3130
0.0383 0.7253 0.6870
0.1051 0.3073 0.7978
0.2747 0.9617 0.3130
0.5095 0.3073 0.2022
0.6487 0.9617 0.6870
0.6927 0.4905 0.7978
0.6927 0.8949 0.2022
```



# ZnGa2Te4O12
Computed X-ray diffraction stick pattern, copper Kα. Input: the GGA-PBE geometry in Alexandria.
No peak broadening, texture or thermal motion is included.

Principal peaks in the range 10 to 80 degrees two-theta, by angle:
20.20°, 4.395 Å, intensity 100.0
26.25°, 3.396 Å, intensity 32.0
30.98°, 2.886 Å, intensity 47.9
31.12°, 2.874 Å, intensity 86.2
33.39°, 2.683 Å, intensity 21.8
41.13°, 2.194 Å, intensity 13.1
45.95°, 1.975 Å, intensity 18.8
46.30°, 1.961 Å, intensity 28.8

Crystal structure
```
ZnGa2Te4O12
1.0
-5.3670 5.3670 5.4178
5.3670 -5.3670 5.4178
5.3670 5.3670 -5.4178
Zn Ga Te O
2 4 8 24
Direct
0.0000 0.0000 0.0000
0.7500 0.2500 0.5000
0.2568 0.1250 0.6318
0.3750 0.7432 0.8682
0.4932 0.6250 0.3682
0.8750 0.5068 0.1318
0.1119 0.3731 0.9664
0.1231 0.3619 0.4664
0.3433 0.8769 0.2388
0.4067 0.1455 0.0336
0.6269 0.5933 0.7388
0.6381 0.1045 0.7612
0.8545 0.8881 0.2612
0.8955 0.6567 0.5336
0.0112 0.0427 0.2253
0.0412 0.9207 0.4631
0.0793 0.5423 0.1204
0.1679 0.5691 0.6596
0.2141 0.9888 0.0315
0.2583 0.1595 0.8404
0.2923 0.3293 0.6204
0.3191 0.4179 0.1596
0.3281 0.7077 0.0369
0.4219 0.9588 0.8796
0.4309 0.0905 0.5988
0.4577 0.5781 0.5369
0.4917 0.8321 0.4012
0.5359 0.0674 0.2747
0.5821 0.7417 0.9012
0.6707 0.2912 0.9631
0.7088 0.6719 0.3796
0.7388 0.4641 0.5315
0.7927 0.2612 0.7253
0.8174 0.7859 0.7747
0.8405 0.6809 0.0988
0.9095 0.5083 0.3404
0.9326 0.2073 0.4685
0.9573 0.1826 0.9685
```



# Ti5Ga2O
Computed X-ray diffraction stick pattern, copper Kα. Input: the GGA-PBE geometry in Alexandria.
No peak broadening, texture or thermal motion is included.

Principal peaks in the range 10 to 80 degrees two-theta, by angle:
23.65°, 3.762 Å, intensity 100.0
35.50°, 2.529 Å, intensity 38.3
37.29°, 2.411 Å, intensity 24.8
39.09°, 2.304 Å, intensity 87.5
40.11°, 2.248 Å, intensity 22.9
42.70°, 2.117 Å, intensity 55.2
46.55°, 1.951 Å, intensity 68.5
53.49°, 1.713 Å, intensity 23.0

Crystal structure
```
Ti5Ga2O
1.0
1.9497 -7.1419 0.0000
1.9497 7.1419 0.0000
0.0000 0.0000 10.2473
Ti Ga O
10 4 2
Direct
0.1087 0.8913 0.6144
0.1087 0.8913 0.8856
0.2743 0.7257 0.2500
0.3005 0.6995 0.5661
0.3005 0.6995 0.9339
0.6995 0.3005 0.0661
0.6995 0.3005 0.4339
0.7257 0.2743 0.7500
0.8913 0.1087 0.1144
0.8913 0.1087 0.3856
0.0758 0.9242 0.1345
0.0758 0.9242 0.3655
0.9242 0.0758 0.6345
0.9242 0.0758 0.8655
0.2225 0.7775 0.7500
0.7775 0.2225 0.2500
```



# Ti6GaO
Computed X-ray diffraction stick pattern, copper Kα. Input: the GGA-PBE geometry in Alexandria.
No peak broadening, texture or thermal motion is included.

Principal peaks in the range 10 to 80 degrees two-theta, by angle:
37.80°, 2.380 Å, intensity 84.0
38.26°, 2.352 Å, intensity 80.0
38.61°, 2.332 Å, intensity 100.0
39.02°, 2.308 Å, intensity 86.2
39.92°, 2.258 Å, intensity 65.9
40.57°, 2.223 Å, intensity 92.5
55.07°, 1.668 Å, intensity 29.6
59.37°, 1.557 Å, intensity 25.3

Crystal structure
```
Ti6GaO
1.0
4.7107 0.0000 0.0000
0.2154 5.2814 0.0000
2.2519 0.8331 4.9108
Ti Ga O
6 1 1
Direct
0.0592 0.2912 0.3497
0.1961 0.8265 0.0481
0.4272 0.3918 0.7557
0.5728 0.6082 0.2443
0.8039 0.1735 0.9519
0.9408 0.7088 0.6503
0.5000 0.0000 0.5000
0.0000 0.5000 0.0000
```



# Ti3Ga2O
Computed X-ray diffraction stick pattern, copper Kα. Input: the GGA-PBE geometry in Alexandria.
No peak broadening, texture or thermal motion is included.

Principal peaks in the range 10 to 80 degrees two-theta, by angle:
18.25°, 4.861 Å, intensity 6.6
39.32°, 2.291 Å, intensity 100.0
41.54°, 2.174 Å, intensity 52.3
43.67°, 2.073 Å, intensity 24.4
49.62°, 1.837 Å, intensity 20.3
69.76°, 1.348 Å, intensity 26.0
71.29°, 1.323 Å, intensity 7.0
74.31°, 1.276 Å, intensity 24.3

Crystal structure
```
Ti3Ga2O
1.0
6.8739 0.0000 0.0000
0.0000 6.8739 0.0000
0.0000 0.0000 6.8739
Ti Ga O
12 8 4
Direct
0.0424 0.1250 0.7924
0.1250 0.7924 0.0424
0.2076 0.5424 0.3750
0.2924 0.4576 0.8750
0.3750 0.2076 0.5424
0.4576 0.8750 0.2924
0.5424 0.3750 0.2076
0.6250 0.7076 0.9576
0.7076 0.9576 0.6250
0.7924 0.0424 0.1250
0.8750 0.2924 0.4576
0.9576 0.6250 0.7076
0.0699 0.9301 0.4301
0.1801 0.1801 0.1801
0.3199 0.8199 0.6801
0.4301 0.0699 0.9301
0.5699 0.5699 0.5699
0.6801 0.3199 0.8199
0.8199 0.6801 0.3199
0.9301 0.4301 0.0699
0.1250 0.3750 0.6250
0.3750 0.6250 0.1250
0.6250 0.1250 0.3750
0.8750 0.8750 0.8750
```